Simulated powder XRD pattern of Ce2Cd2In3 for a wavelength of 1.5418 Å, from a PBE-relaxed structure.
Lines closer than 0.1° are merged.

Most intense lines, 2θ from 5° to 70°, most intense first:
| 2θ/deg | I_rel |
| --- | --- |
| 33.53 | 100 |
| 35.58 | 43 |
| 32.19 | 41 |
| 34.61 | 39 |
| 39.09 | 25 |
| 69.51 | 23 |
| 33.65 | 22 |
| 45.08 | 18 |
| 8.76 | 17 |
| 40.59 | 13 |

Structural model:
Cell: 6.302 3.136 10.567 Å, 90.00 107.23 90.00°
Positions (direct):
Ce: 0.119 0.000 0.254
Ce: 0.881 0.000 0.746
Cd: 0.362 0.500 0.746
Cd: 0.638 0.500 0.254
In: 0.248 0.500 0.005
In: 0.500 0.500 0.500
In: 0.752 0.500 0.995